This entry pairs a crystal structure of TlV2PbO6 with its theoretical powder X-ray diffraction pattern. Radiation: a wavelength of 1.5418 Å. Structure: a structure optimized by DFT (PBE+U).
Kinematic intensities with the Lorentz-polarization factor, no thermal factor.

Main lines, in order of rising 2θ (2θ = 10–80°):
- hkl 2 0 0, 2θ = 15.79°, I = 39
- hkl 0 2 1, 2θ = 22.50°, I = 30
- hkl 2 2 -1, 2θ = 25.34°, I = 100
- hkl 2 2 1, 2θ = 29.72°, I = 54
- hkl 0 0 2, 2θ = 30.68°, I = 31
- hkl 4 0 0, 2θ = 31.89°, I = 24
- hkl 4 2 -1, 2θ = 36.08°, I = 18
- hkl 2 2 -3, 2θ = 48.75°, I = 21

```
data_TlV2PbO6
_symmetry_space_group_name_H-M 'C 1 2/c 1'
_symmetry_Int_Tables_number 15
_symmetry_space_group_name_Hall '-C 2yc'
_cell_length_a 11.571
_cell_length_b 10.751
_cell_length_c 6.008
_cell_angle_alpha 90.00
_cell_angle_beta 104.06
_cell_angle_gamma 90.00
loop_
_atom_site_label
_atom_site_fract_x
_atom_site_fract_y
_atom_site_fract_z
Tl1 0.000 0.124 0.250
V1 0.248 0.402 0.232
Pb1 0.000 0.345 0.750
O1 0.116 0.321 0.156
O2 0.124 0.190 0.686
O3 0.249 0.495 0.977
```